Structure and calculated powder X-ray diffraction pattern of Na3HfScSiP2O12 (DFT lattice parameters and positions (PBE); Cu Kα (λ = 1.5418 Å)).

Structure:
abc: 15.738 9.111 9.051
angles: 90.00 124.67 90.00
Space group Cc (No. 9)
One atom of each set of equivalent atoms:
Na1 0.000 0.066 0.000 x4
Na2 0.065 0.280 0.705 x4
Na3 0.320 0.109 0.972 x4
Hf1 0.209 0.257 0.151 x4
Sc1 0.419 0.244 0.772 x4
Si1 0.459 0.105 0.451 x4
P1 0.166 0.100 0.467 x4
P2 0.314 0.455 0.969 x4
O1 0.057 0.312 0.965 x4
O2 0.070 0.154 0.457 x4
O3 0.163 0.072 0.967 x4
O4 0.164 0.141 0.296 x4
O5 0.233 0.352 0.964 x4
O6 0.253 0.440 0.304 x4
O7 0.265 0.158 0.637 x4
O8 0.352 0.166 0.265 x4
O9 0.377 0.455 0.641 x4
O10 0.389 0.358 0.954 x4
O11 0.453 0.160 0.616 x4
O12 0.465 0.073 0.953 x4

Peak list (10 most intense, 2θ = 10–90°, low angle first)
hkl 2 0 0, 2θ 13.68, I 34; hkl 1 1 -1, 2θ 13.79, I 77; hkl 1 1 1, 2θ 19.44, I 100; hkl 2 0 -2, 2θ 19.56, I 85; hkl 2 2 0, 2θ 23.89, I 26; hkl 2 2 -2, 2θ 27.79, I 33; hkl 3 1 1, 2θ 30.88, I 37; hkl 0 2 2, 2θ 31.03, I 55; hkl 3 1 -3, 2θ 31.21, I 47; hkl 3 3 -1, 2θ 34.11, I 57